1.
For KSrDyWO6, DFT lattice parameters and positions (PBE+U) gives the theoretical powder X-ray diffraction pattern in this record (Cu Kα, 1.54184 Å).
Kinematic intensities with the Lorentz-polarization factor, no thermal factor.

Top 12 peaks for 2θ = 5–70°, in order of rising 2θ:
2θ (°), I/Imax, (hkl)
18.34, 4, 1 1 1
21.20, 38, 2 0 0
30.16, 100, 2 2 0
35.53, 2, 3 1 1
37.16, 3, 2 2 2
43.18, 31, 4 0 0
48.58, 17, 4 2 0
53.57, 40, 4 2 2
57.11, 1, 5 1 1
62.71, 19, 4 4 0
65.94, 1, 5 3 1
67.00, 8, 6 0 0

Crystal structure
a = 8.3807 Å, b = 8.3807 Å, c = 8.3807 Å
α = 90.00°, β = 90.00°, γ = 90.00°
Space group F-43m (No. 216)
Inequivalent atoms, fractional coordinates:
K 0.0000 0.0000 0.0000 [4 per cell]
Sr 0.0000 0.0000 0.5000 [4 per cell]
Dy 0.2500 0.2500 0.7500 [4 per cell]
W 0.2500 0.2500 0.2500 [4 per cell]
O 0.0169 0.2500 0.2500 [24 per cell]

2.
For LiMn2O4, DFT lattice parameters and positions (PBE+U) gives the theoretical powder X-ray diffraction pattern in this record (Cu Kα, 1.54184 Å).
Kinematic intensities with the Lorentz-polarization factor, no thermal factor.

Top 12 peaks for 2θ = 5–70°, in order of rising 2θ:
2θ (°), I/Imax, (hkl)
18.29, 100, 0 1 0
34.26, 18, 1 0 1
35.88, 7, 1 -2 1
36.02, 15, 2 -1 0
36.17, 8, 2 1 -1
41.04, 21, 0 0 2
43.93, 17, 2 -2 0
44.18, 17, 2 2 -2
54.49, 7, 0 1 2
61.68, 11, 2 -2 2
61.88, 11, 2 2 0
63.83, 7, 0 4 -2

Crystal structure
a = 5.7938 Å, b = 5.8339 Å, c = 6.0108 Å
α = 118.83°, β = 118.62°, γ = 90.31°
Space group P-1 (No. 2)
Inequivalent atoms, fractional coordinates:
Li 0.1126 0.3633 0.2257 [2 per cell]
Mn 0.0000 0.0000 0.5000 [1 per cell]
Mn 0.5000 0.0000 0.0000 [1 per cell]
Mn 0.5000 0.0000 0.5000 [1 per cell]
Mn 0.5000 0.5000 0.0000 [1 per cell]
O 0.2475 0.2226 0.9465 [2 per cell]
O 0.2470 0.7779 0.4970 [2 per cell]
O 0.2496 0.2188 0.4963 [2 per cell]
O 0.3011 0.7759 0.0535 [2 per cell]